Calculated XRD peak list
Compound: Li5Si
Radiation: Cu Kα (λ = 1.5418 Å)
Structure: a cell relaxed with GGA-PBE
Neutral-atom scattering factors, no anomalous dispersion.

Cell and atoms:
```
6
Lattice="4.456 0.000 0.000 -2.228 3.859 0.000 0.000 0.000 5.390" Properties=species:S:1:pos:R:3 pbc="T T T"
Li 0.000 0.000 0.000
Li 0.000 2.573 1.514
Li 0.000 2.573 3.877
Li 2.228 1.286 1.514
Li 2.228 1.286 3.877
Si 0.000 0.000 2.695
```

Main lines, sorted by position (2θ from 5° to 70°):
Position (°2θ), I/Imax
16.44, 82
23.04, 76
28.44, 71
40.48, 81
40.84, 100
43.97, 32
50.22, 13
56.49, 17
58.86, 34
66.39, 11

***

Calculated XRD peak list
Compound: Li7Si6
Radiation: Cu Kα (λ = 1.5418 Å)
Structure: a cell relaxed with GGA-PBE
Neutral-atom scattering factors, no anomalous dispersion.

Cell and atoms:
```
13
Lattice="2.454 1.417 9.531 -2.454 1.417 9.531 0.000 -2.833 9.531" Properties=species:S:1:pos:R:3 pbc="T T T"
Li 0.000 0.000 0.000
Li 0.000 -1.413 7.033
Li -1.223 0.706 7.033
Li -1.223 -0.706 21.560
Li 1.223 0.706 7.033
Li 1.223 -0.706 21.560
Li 0.000 1.413 21.560
Si 0.000 0.000 4.773
Si 0.000 0.000 10.788
Si 0.000 0.000 13.141
Si 0.000 0.000 15.452
Si 0.000 0.000 17.805
Si 0.000 0.000 23.820
```

Main lines, sorted by position (2θ from 5° to 70°):
Position (°2θ), I/Imax
9.28, 100
21.13, 38
24.37, 19
26.12, 20
36.62, 77
37.89, 25
40.69, 34
41.39, 19
42.66, 14
46.49, 29

***

Calculated XRD peak list
Compound: Li2Tb2SmSi2
Radiation: Cu Kα (λ = 1.5418 Å)
Structure: a cell relaxed with GGA-PBE
Neutral-atom scattering factors, no anomalous dispersion.

Cell and atoms:
```
7
Lattice="2.234 1.290 8.915 -2.234 1.290 8.915 0.000 -2.580 8.915" Properties=species:S:1:pos:R:3 pbc="T T T"
Li 0.000 0.000 2.618
Li 0.000 0.000 24.128
Tb 0.000 0.000 9.960
Tb 0.000 0.000 16.786
Sm 0.000 0.000 13.373
Si 0.000 0.000 6.381
Si 0.000 0.000 20.366
```

Main lines, sorted by position (2θ from 5° to 70°):
Position (°2θ), I/Imax
23.23, 100
32.94, 60
35.48, 70
40.37, 54
47.09, 15
51.18, 24
53.06, 15
54.82, 20
67.17, 19
68.72, 14

***

Calculated XRD peak list
Compound: Li2Sm2ThSi2
Radiation: Cu Kα (λ = 1.5418 Å)
Structure: a cell relaxed with GGA-PBE
Neutral-atom scattering factors, no anomalous dispersion.

Cell and atoms:
```
7
Lattice="2.238 1.292 9.197 -2.238 1.292 9.197 0.000 -2.585 9.197" Properties=species:S:1:pos:R:3 pbc="T T T"
Li 0.000 0.000 2.704
Li 0.000 0.000 24.888
Sm 0.000 0.000 10.312
Sm 0.000 0.000 17.279
Th 0.000 0.000 13.796
Si 0.000 0.000 6.456
Si 0.000 0.000 21.135
```

Main lines, sorted by position (2θ from 5° to 70°):
Position (°2θ), I/Imax
23.17, 100
32.39, 59
34.82, 65
40.29, 47
46.99, 16
50.49, 20
52.62, 15
54.29, 18
65.71, 18
69.73, 17

***

Calculated XRD peak list
Compound: Li2Sm2YSi2
Radiation: Cu Kα (λ = 1.5418 Å)
Structure: a cell relaxed with GGA-PBE
Neutral-atom scattering factors, no anomalous dispersion.

Cell and atoms:
```
7
Lattice="2.208 1.275 9.283 -2.208 1.275 9.283 0.000 -2.550 9.283" Properties=species:S:1:pos:R:3 pbc="T T T"
Li 0.000 0.000 2.997
Li 0.000 0.000 24.853
Sm 0.000 0.000 10.460
Sm 0.000 0.000 17.390
Y 0.000 0.000 13.925
Si 0.000 0.000 6.445
Si 0.000 0.000 21.405
```

Main lines, sorted by position (2θ from 5° to 70°):
Position (°2θ), I/Imax
9.53, 23
23.48, 100
26.59, 24
28.31, 16
32.47, 60
34.85, 80
40.87, 58
50.80, 19
54.77, 22
65.71, 17

***

Calculated XRD peak list
Compound: SrLi3Si2
Radiation: Cu Kα (λ = 1.5418 Å)
Structure: a cell relaxed with GGA-PBE
Neutral-atom scattering factors, no anomalous dispersion.

Cell and atoms:
```
12
Lattice="6.149 0.000 0.000 0.000 6.161 0.000 -3.057 0.000 6.798" Properties=species:S:1:pos:R:3 pbc="T T T"
Sr 0.008 1.540 1.474
Sr 3.083 4.621 5.324
Li -1.667 1.540 4.196
Li 1.408 4.621 2.609
Li 0.019 1.540 6.477
Li 3.073 4.621 0.321
Li 1.684 1.540 4.190
Li 4.759 4.621 2.602
Si 0.005 3.470 4.624
Si 0.005 5.771 4.624
Si 3.086 0.390 2.174
Si 3.086 2.691 2.174
```

Main lines, sorted by position (2θ from 5° to 70°):
Position (°2θ), I/Imax
19.44, 100
21.44, 20
26.22, 32
28.43, 50
29.04, 46
33.19, 39
35.19, 57
36.12, 23
38.24, 27
47.14, 21

***

Calculated XRD peak list
Compound: LiTbSi2
Radiation: Cu Kα (λ = 1.5418 Å)
Structure: a cell relaxed with GGA-PBE
Neutral-atom scattering factors, no anomalous dispersion.

Cell and atoms:
```
16
Lattice="6.652 0.000 0.000 0.000 4.122 0.000 0.000 0.000 10.799" Properties=species:S:1:pos:R:3 pbc="T T T"
Li 0.918 1.030 0.591
Li 2.408 3.091 5.990
Li 4.244 1.030 4.809
Li 5.734 3.091 10.208
Tb 0.982 1.030 3.723
Tb 2.344 3.091 9.122
Tb 4.308 1.030 1.676
Tb 5.670 3.091 7.076
Si 0.196 1.030 9.003
Si 1.173 1.030 6.850
Si 2.153 3.091 1.450
Si 3.130 3.091 3.604
Si 3.522 1.030 7.195
Si 4.499 1.030 9.348
Si 5.479 3.091 3.949
Si 6.456 3.091 1.796
```

Main lines, sorted by position (2θ from 5° to 70°):
Position (°2θ), I/Imax
16.42, 41
21.19, 72
23.10, 48
26.75, 68
28.07, 43
30.41, 66
34.66, 89
35.75, 100
48.20, 36
48.74, 35

***

Calculated XRD peak list
Compound: Li4TbSi2
Radiation: Cu Kα (λ = 1.5418 Å)
Structure: a cell relaxed with GGA-PBE
Neutral-atom scattering factors, no anomalous dispersion.

Cell and atoms:
```
7
Lattice="1.976 -8.183 0.000 1.976 8.183 0.000 0.000 0.000 4.056" Properties=species:S:1:pos:R:3 pbc="T T T"
Li 1.976 5.354 0.000
Li 1.976 2.883 2.028
Li 1.976 -2.883 2.028
Li 1.976 -5.354 0.000
Tb 1.976 0.000 0.000
Si 1.976 7.022 2.028
Si 1.976 -7.022 2.028
```

Main lines, sorted by position (2θ from 5° to 70°):
Position (°2θ), I/Imax
10.81, 100
21.72, 12
23.15, 11
24.50, 13
27.88, 14
31.05, 15
32.09, 38
35.62, 13
35.74, 26
39.83, 11

***

Calculated XRD peak list
Compound: LiSiTe3
Radiation: Cu Kα (λ = 1.5418 Å)
Structure: a cell relaxed with GGA-PBE
Neutral-atom scattering factors, no anomalous dispersion.

Cell and atoms:
```
10
Lattice="6.624 0.000 0.000 -3.312 5.736 0.000 0.000 0.000 6.861" Properties=species:S:1:pos:R:3 pbc="T T T"
Li 0.000 3.824 1.715
Li 3.312 1.912 5.146
Si 0.000 0.000 1.715
Si 0.000 0.000 5.146
Te -1.071 1.856 3.431
Te -2.240 3.880 0.000
Te 2.143 0.000 3.431
Te 1.071 1.856 0.000
Te 4.481 0.000 0.000
Te 2.240 3.880 3.431
```

Main lines, sorted by position (2θ from 5° to 70°):
Position (°2θ), I/Imax
25.97, 27
26.92, 14
29.96, 100
37.76, 25
47.56, 22
48.36, 26
53.41, 5
54.98, 19
57.23, 15
62.26, 6